1.
Starting from a GGA-PBE-relaxed structure, the X-ray powder pattern of Pm4Nd3Th was computed for CuKα.
Neutral-atom scattering factors, no anomalous dispersion.

The 10 most intense peaks (10 to 90 degrees two-theta), sorted by position:
index, Position (°2θ), I/Imax
3 1 0, 28.02, 15
1 1 -1, 28.47, 29
6 0 -2, 30.06, 100
8 0 0, 31.48, 44
5 1 0, 32.22, 19
5 1 -1, 32.62, 53
1 1 -2, 36.53, 20
7 1 1, 42.95, 18
11 1 -3, 57.55, 13
6 2 -2, 61.34, 27

Crystal structure
```
data_Pm4Nd3Th
_cell_length_a 23.7790
_cell_length_b 3.5099
_cell_length_c 6.9772
_cell_angle_alpha 90.00
_cell_angle_beta 107.06
_cell_angle_gamma 90.00
_symmetry_space_group_name_H-M 'C 1 2/m 1'
_symmetry_Int_Tables_number 12
_symmetry_space_group_name_Hall '-C 2y'
loop_
_atom_site_label
_atom_site_type_symbol
_atom_site_fract_x
_atom_site_fract_y
_atom_site_fract_z
_atom_site_occupancy
Pm1 Pm 0.1227 0.0000 0.3856 1
Pm2 Pm 0.2427 0.5000 0.7410 1
Nd1 Nd 0.0000 0.0000 0.0000 1
Nd2 Nd 0.1228 0.0000 0.8595 1
Th1 Th 0.0000 0.5000 0.5000 1
```

2.
Starting from a GGA-PBE-relaxed structure, the X-ray powder pattern of Pm2Nd5Th2 was computed for CuKα.
Neutral-atom scattering factors, no anomalous dispersion.

The 10 most intense peaks (10 to 90 degrees two-theta), sorted by position:
index, Position (°2θ), I/Imax
2 1 1, 29.98, 100
1 2 -1, 34.58, 17
2 -1 0, 34.82, 17
1 1 3, 34.86, 17
2 3 2, 49.86, 12
3 1 -1, 49.97, 18
-1 2 3, 50.16, 6
3 3 0, 59.12, 11
4 0 1, 59.49, 22
4 2 2, 62.26, 9

Crystal structure
```
data_Pm2Nd5Th2
_cell_length_a 6.3193
_cell_length_b 6.3432
_cell_length_c 8.1423
_cell_angle_alpha 82.88
_cell_angle_beta 75.04
_cell_angle_gamma 80.21
_symmetry_space_group_name_H-M 'P -1'
_symmetry_Int_Tables_number 2
_symmetry_space_group_name_Hall '-P 1'
loop_
_atom_site_label
_atom_site_type_symbol
_atom_site_fract_x
_atom_site_fract_y
_atom_site_fract_z
_atom_site_occupancy
Pm1 Pm 0.2220 0.4463 0.1100 1
Nd1 Nd 0.0000 0.0000 0.0000 1
Nd2 Nd 0.1155 0.2250 0.5520 1
Nd3 Nd 0.4490 0.8859 0.2304 1
Th1 Th 0.3379 0.6600 0.6641 1
```

3.
Starting from a GGA-PBE-relaxed structure, the X-ray powder pattern of Pm5Nd3Th2 was computed for CuKα.
Neutral-atom scattering factors, no anomalous dispersion.

The 10 most intense peaks (10 to 90 degrees two-theta), sorted by position:
index, Position (°2θ), I/Imax
2 2 1, 29.33, 100
2 4 0, 30.74, 96
4 0 -2, 32.09, 51
0 4 2, 32.21, 23
0 2 3, 34.51, 19
2 0 2, 36.18, 24
0 6 3, 49.17, 21
6 4 -2, 56.36, 18
4 6 1, 59.93, 23
2 4 4, 63.44, 25

Crystal structure
```
data_Pm5Nd3Th2
_cell_length_a 11.1558
_cell_length_b 14.9474
_cell_length_c 10.0137
_cell_angle_alpha 90.00
_cell_angle_beta 123.84
_cell_angle_gamma 90.00
_symmetry_space_group_name_H-M 'C 1 2/c 1'
_symmetry_Int_Tables_number 15
_symmetry_space_group_name_Hall '-C 2yc'
loop_
_atom_site_label
_atom_site_type_symbol
_atom_site_fract_x
_atom_site_fract_y
_atom_site_fract_z
_atom_site_occupancy
Pm1 Pm 0.0000 0.0138 0.2500 1
Pm2 Pm 0.0000 0.2230 0.2500 1
Pm3 Pm 0.0000 0.4721 0.7500 1
Pm4 Pm 0.2493 0.3758 0.2482 1
Nd1 Nd 0.0000 0.2632 0.7500 1
Nd2 Nd 0.1495 0.3752 0.5469 1
Th1 Th 0.1546 0.1246 0.0606 1
```

4.
Starting from a GGA-PBE-relaxed structure, the X-ray powder pattern of Pm7Nd2Th2 was computed for CuKα.
Neutral-atom scattering factors, no anomalous dispersion.

The 10 most intense peaks (10 to 90 degrees two-theta), sorted by position:
index, Position (°2θ), I/Imax
3 1 -1, 24.98, 17
2 0 -2, 29.67, 16
1 1 -2, 30.59, 28
0 4 0, 30.83, 72
2 2 1, 31.08, 100
3 3 -1, 33.29, 41
2 2 -2, 33.53, 36
4 4 -1, 44.17, 18
1 5 -2, 49.53, 17
6 2 -3, 58.13, 14

Crystal structure
```
data_Pm7Nd2Th2
_cell_length_a 11.6602
_cell_length_b 11.6068
_cell_length_c 6.0912
_cell_angle_alpha 90.00
_cell_angle_beta 112.42
_cell_angle_gamma 90.00
_symmetry_space_group_name_H-M 'C 1 2/m 1'
_symmetry_Int_Tables_number 12
_symmetry_space_group_name_Hall '-C 2y'
loop_
_atom_site_label
_atom_site_type_symbol
_atom_site_fract_x
_atom_site_fract_y
_atom_site_fract_z
_atom_site_occupancy
Pm1 Pm 0.0000 0.0000 0.0000 1
Pm2 Pm 0.0753 0.5000 0.7973 1
Pm3 Pm 0.1792 0.2287 0.1712 1
Nd1 Nd 0.2245 0.0000 0.5981 1
Th1 Th 0.0000 0.2168 0.5000 1
```

5.
Starting from a GGA-PBE-relaxed structure, the X-ray powder pattern of Pm8Nd3Th was computed for CuKα.
Neutral-atom scattering factors, no anomalous dispersion.

The 10 most intense peaks (10 to 90 degrees two-theta), sorted by position:
index, Position (°2θ), I/Imax
1 1 0, 15.49, 24
0 0 4, 30.74, 68
1 3 2, 30.88, 100
2 0 2, 31.26, 65
0 4 2, 34.50, 23
2 2 2, 34.95, 43
2 2 4, 44.41, 22
3 3 2, 50.34, 26
2 6 0, 55.01, 28
2 6 4, 64.35, 26

Crystal structure
```
data_Pm8Nd3Th
_cell_length_a 6.5739
_cell_length_b 11.6230
_cell_length_c 11.6382
_cell_angle_alpha 90.00
_cell_angle_beta 90.00
_cell_angle_gamma 90.00
_symmetry_space_group_name_H-M 'I m m m'
_symmetry_Int_Tables_number 71
_symmetry_space_group_name_Hall '-I 2 2'
loop_
_atom_site_label
_atom_site_type_symbol
_atom_site_fract_x
_atom_site_fract_y
_atom_site_fract_z
_atom_site_occupancy
Pm1 Pm 0.0000 0.1671 0.2484 1
Pm2 Pm 0.2456 0.2523 0.0000 1
Nd1 Nd 0.0000 0.0000 0.5000 1
Nd2 Nd 0.0000 0.5000 0.2643 1
Th1 Th 0.0000 0.0000 0.0000 1
```

6.
Starting from a GGA-PBE-relaxed structure, the X-ray powder pattern of Pm2Nd5Th3 was computed for CuKα.
Neutral-atom scattering factors, no anomalous dispersion.

The 10 most intense peaks (10 to 90 degrees two-theta), sorted by position:
index, Position (°2θ), I/Imax
3 1 1, 30.06, 100
4 0 -2, 34.66, 17
2 0 4, 34.86, 17
0 2 0, 35.02, 17
6 0 2, 49.98, 12
4 2 -2, 50.10, 12
7 1 -1, 59.30, 15
5 1 5, 59.56, 14
3 3 1, 59.78, 15
6 2 2, 62.48, 13

Crystal structure
```
data_Pm2Nd5Th3
_cell_length_a 11.5649
_cell_length_b 5.1239
_cell_length_c 11.5191
_cell_angle_alpha 90.00
_cell_angle_beta 90.23
_cell_angle_gamma 90.00
_symmetry_space_group_name_H-M 'C 1 2/m 1'
_symmetry_Int_Tables_number 12
_symmetry_space_group_name_Hall '-C 2y'
loop_
_atom_site_label
_atom_site_type_symbol
_atom_site_fract_x
_atom_site_fract_y
_atom_site_fract_z
_atom_site_occupancy
Pm1 Pm 0.0982 0.0000 0.2064 1
Nd1 Nd 0.0000 0.5000 0.0000 1
Nd2 Nd 0.1981 0.0000 0.8955 1
Nd3 Nd 0.1995 0.5000 0.4029 1
Th1 Th 0.0000 0.0000 0.5000 1
Th2 Th 0.0973 0.5000 0.6964 1
```

7.
Starting from a GGA-PBE-relaxed structure, the X-ray powder pattern of Pm3Nd8Th2 was computed for CuKα.
Neutral-atom scattering factors, no anomalous dispersion.

The 10 most intense peaks (10 to 90 degrees two-theta), sorted by position:
index, Position (°2θ), I/Imax
2 -1 0, 29.58, 72
1 -3 0, 30.71, 13
1 1 -5, 30.87, 100
1 -2 5, 31.55, 83
2 -2 1, 31.93, 14
-1 2 4, 32.28, 31
0 0 9, 47.10, 11
3 -1 5, 53.16, 8
1 4 -6, 53.97, 11
2 -1 9, 56.61, 9

Crystal structure
```
data_Pm3Nd8Th2
_cell_length_a 6.0457
_cell_length_b 9.0713
_cell_length_c 17.7066
_cell_angle_alpha 100.65
_cell_angle_beta 90.49
_cell_angle_gamma 106.83
_symmetry_space_group_name_H-M 'P -1'
_symmetry_Int_Tables_number 2
_symmetry_space_group_name_Hall '-P 1'
loop_
_atom_site_label
_atom_site_type_symbol
_atom_site_fract_x
_atom_site_fract_y
_atom_site_fract_z
_atom_site_occupancy
Pm1 Pm 0.0000 0.0000 0.0000 1
Pm2 Pm 0.2294 0.2838 0.2943 1
Pm3 Pm 0.2377 0.4202 0.7309 1
Pm4 Pm 0.5000 0.0000 0.5000 1
Nd1 Nd 0.0125 0.0365 0.6080 1
Nd2 Nd 0.0528 0.0734 0.8171 1
Nd3 Nd 0.2198 0.4552 0.1414 1
Nd4 Nd 0.2628 0.3398 0.5092 1
Nd5 Nd 0.2688 0.7211 0.6155 1
Nd6 Nd 0.3843 0.8033 0.8545 1
Nd7 Nd 0.3974 0.7988 0.0649 1
Nd8 Nd 0.4301 0.8723 0.2775 1
Th1 Th 0.2162 0.4301 0.9462 1
Th2 Th 0.2182 0.6291 0.4027 1
```

8.
Starting from a GGA-PBE-relaxed structure, the X-ray powder pattern of Pm7NdTh3 was computed for CuKα.
Neutral-atom scattering factors, no anomalous dispersion.

The 10 most intense peaks (10 to 90 degrees two-theta), sorted by position:
index, Position (°2θ), I/Imax
1 0 -2, 27.98, 16
2 1 1, 30.44, 100
1 1 -2, 31.12, 66
-2 1 1, 33.68, 36
1 3 0, 36.66, 49
3 -1 2, 50.59, 16
3 2 -1, 50.67, 16
0 3 -3, 53.70, 12
4 0 0, 58.23, 15
2 4 -2, 63.05, 13

Crystal structure
```
data_Pm7NdTh3
_cell_length_a 6.3862
_cell_length_b 7.8124
_cell_length_c 7.8295
_cell_angle_alpha 81.82
_cell_angle_beta 84.82
_cell_angle_gamma 84.93
_symmetry_space_group_name_H-M 'P -1'
_symmetry_Int_Tables_number 2
_symmetry_space_group_name_Hall '-P 1'
loop_
_atom_site_label
_atom_site_type_symbol
_atom_site_fract_x
_atom_site_fract_y
_atom_site_fract_z
_atom_site_occupancy
Pm1 Pm 0.0000 0.0000 0.0000 1
Pm2 Pm 0.2112 0.2699 0.2702 1
Pm3 Pm 0.2620 0.5693 0.9226 1
Pm4 Pm 0.2621 0.9228 0.5703 1
Nd1 Nd 0.5000 0.0000 0.0000 1
Th1 Th 0.0006 0.6722 0.3280 1
Th2 Th 0.5000 0.5000 0.5000 1
```